Entry 1:
This entry pairs a crystal structure of AcSm2Pt with its simulated powder diffraction line list. Radiation: Cu Ka. Structure: a structure optimized by DFT (GGA-PBE).

Cell and atoms:
```
data_AcSm2Pt
_chemical_formula_sum 'Ac4 Sm8 Pt4'
_symmetry_space_group_name_H-M 'C m c m'
_symmetry_Int_Tables_number 63
_symmetry_space_group_name_Hall '-C 2c 2'
_cell_length_a 5.040
_cell_length_b 12.609
_cell_length_c 7.860
_cell_angle_alpha 90.00
_cell_angle_beta 90.00
_cell_angle_gamma 90.00
loop_
_atom_site_label
_atom_site_type_symbol
_atom_site_fract_x
_atom_site_fract_y
_atom_site_fract_z
Ac1 Ac 0.000 0.041 0.250
Sm1 Sm 0.000 0.347 0.034
Pt1 Pt 0.000 0.200 0.750
```

Top 10 peaks for 2θ = 5–70°, by angle:
Position (°2θ), I/Imax, (hkl)
27.6, 28, 1 3 0
29.7, 100, 1 1 2
29.9, 43, 1 3 1
30.6, 43, 0 4 1
35.6, 43, 2 0 0
36.0, 22, 1 3 2
36.5, 23, 0 4 2
39.4, 19, 1 1 3
47.6, 26, 2 4 1
52.0, 17, 2 4 2



Entry 2:
This entry pairs a crystal structure of Na4Tl2In5 with its simulated powder diffraction line list. Radiation: Cu Ka. Structure: a structure optimized by DFT (GGA-PBE).

Cell and atoms:
```
data_Na4Tl2In5
_chemical_formula_sum 'Na8 Tl4 In10'
_symmetry_space_group_name_H-M 'C 1 2/m 1'
_symmetry_Int_Tables_number 12
_cell_length_a 15.549
_cell_length_b 6.272
_cell_length_c 7.015
_cell_angle_alpha 90.00
_cell_angle_beta 111.25
_cell_angle_gamma 90.00
loop_
_symmetry_equiv_pos_as_xyz
'x,y,z'
'-x,-y,-z'
'-x,y,-z'
'x,-y,z'
'x+1/2,y+1/2,z'
'-x+1/2,-y+1/2,-z'
'-x+1/2,y+1/2,-z'
'x+1/2,-y+1/2,z'
loop_
_atom_site_label
_atom_site_type_symbol
_atom_site_fract_x
_atom_site_fract_y
_atom_site_fract_z
Na1 Na 0.111 0.000 0.489
Na2 Na 0.239 0.500 0.819
Tl1 Tl 0.165 0.500 0.302
In1 In 0.000 0.500 0.500
In2 In 0.066 0.239 0.888
```

Top 10 peaks for 2θ = 5–70°, by angle:
Position (°2θ), I/Imax, (hkl)
15.4, 66, 1 1 0
22.0, 92, 1 1 1
23.4, 76, 4 0 -1
30.4, 57, 3 1 -2
31.6, 72, 0 2 1
32.3, 85, 4 0 1
33.9, 65, 2 0 2
35.9, 100, 2 2 1
38.6, 57, 2 0 -3
41.4, 88, 4 2 -2



Entry 3:
This entry pairs a crystal structure of CsNp3Tl2S8 with its simulated powder diffraction line list. Radiation: Cu Ka. Structure: a structure optimized by DFT (GGA-PBE).

Cell and atoms:
```
data_CsNp3Tl2S8
_chemical_formula_sum 'Cs3 Np9 Tl6 S24'
_symmetry_space_group_name_H-M 'R 3 m'
_symmetry_Int_Tables_number 160
_symmetry_space_group_name_Hall 'R 3 -2"'
_cell_length_a 8.1039
_cell_length_b 8.1039
_cell_length_c 24.6469
_cell_angle_alpha 90.00
_cell_angle_beta 90.00
_cell_angle_gamma 120.00
loop_
_atom_site_label
_atom_site_type_symbol
_atom_site_fract_x
_atom_site_fract_y
_atom_site_fract_z
Cs1 Cs 0.0000 0.0000 0.0000
Np1 Np 0.1676 0.3351 0.1899
Tl1 Tl 0.0000 0.0000 0.3324
Tl2 Tl 0.0000 0.0000 0.7408
S1 S 0.0000 0.0000 0.1352
S2 S 0.0000 0.0000 0.5800
S3 S 0.0319 0.5160 0.1326
S4 S 0.1824 0.3648 0.9133
```

Top 10 peaks for 2θ = 5–70°, by angle:
Position (°2θ), I/Imax, (hkl)
10.8, 46, 0 0 3
19.2, 46, 1 0 4
22.0, 66, 0 1 5
24.5, 100, 1 1 3
25.6, 50, 0 2 1
26.4, 41, 2 0 2
29.3, 48, 0 2 4
36.1, 55, 0 2 7
38.9, 43, 2 0 8
44.7, 53, 2 2 0



Entry 4:
This entry pairs a crystal structure of Ba4Li5Ag6 with its simulated powder diffraction line list. Radiation: Cu Ka. Structure: a structure optimized by DFT (GGA-PBE).

Cell and atoms:
```
data_Ba4Li5Ag6
_chemical_formula_sum 'Ba16 Li20 Ag24'
_symmetry_space_group_name_H-M 'C m c 21'
_symmetry_Int_Tables_number 36
_cell_length_a 4.740
_cell_length_b 21.699
_cell_length_c 17.424
_cell_angle_alpha 90.00
_cell_angle_beta 90.00
_cell_angle_gamma 90.00
loop_
_symmetry_equiv_pos_as_xyz
'x,y,z'
'-x,-y,z+1/2'
'-x,y,z'
'x,-y,z+1/2'
'x+1/2,y+1/2,z'
'-x+1/2,-y+1/2,z+1/2'
'-x+1/2,y+1/2,z'
'x+1/2,-y+1/2,z+1/2'
loop_
_atom_site_label
_atom_site_type_symbol
_atom_site_fract_x
_atom_site_fract_y
_atom_site_fract_z
Ba1 Ba 0.000 0.018 0.000
Ba2 Ba 0.000 0.019 0.744
Ba3 Ba 0.000 0.175 0.191
Ba4 Ba 0.000 0.175 0.553
Li1 Li 0.000 0.153 0.872
Li2 Li 0.000 0.295 0.872
Li3 Li 0.000 0.345 0.247
Li4 Li 0.000 0.346 0.498
Li5 Li 0.000 0.435 0.872
Ag1 Ag 0.000 0.118 0.372
Ag2 Ag 0.000 0.216 0.002
Ag3 Ag 0.000 0.216 0.742
Ag4 Ag 0.000 0.427 0.372
Ag5 Ag 0.000 0.434 0.110
Ag6 Ag 0.000 0.434 0.634
```

Top 10 peaks for 2θ = 5–70°, by angle:
Position (°2θ), I/Imax, (hkl)
23.0, 29, 1 3 1
26.2, 55, 0 4 4
27.9, 83, 1 5 0
28.1, 100, 1 1 4
31.9, 53, 1 5 3
32.2, 71, 0 6 4
38.0, 65, 2 0 0
44.6, 33, 0 10 3
60.0, 30, 2 10 3
60.5, 30, 1 9 8



What did the third record say?
This entry pairs a crystal structure of CsNp3Tl2S8 with its simulated powder diffraction line list. Radiation: Cu Ka. Structure: a structure optimized by DFT (GGA-PBE).

Cell and atoms:
```
data_CsNp3Tl2S8
_chemical_formula_sum 'Cs3 Np9 Tl6 S24'
_symmetry_space_group_name_H-M 'R 3 m'
_symmetry_Int_Tables_number 160
_symmetry_space_group_name_Hall 'R 3 -2"'
_cell_length_a 8.1039
_cell_length_b 8.1039
_cell_length_c 24.6469
_cell_angle_alpha 90.00
_cell_angle_beta 90.00
_cell_angle_gamma 120.00
loop_
_atom_site_label
_atom_site_type_symbol
_atom_site_fract_x
_atom_site_fract_y
_atom_site_fract_z
Cs1 Cs 0.0000 0.0000 0.0000
Np1 Np 0.1676 0.3351 0.1899
Tl1 Tl 0.0000 0.0000 0.3324
Tl2 Tl 0.0000 0.0000 0.7408
S1 S 0.0000 0.0000 0.1352
S2 S 0.0000 0.0000 0.5800
S3 S 0.0319 0.5160 0.1326
S4 S 0.1824 0.3648 0.9133
```

Top 10 peaks for 2θ = 5–70°, by angle:
Position (°2θ), I/Imax, (hkl)
10.8, 46, 0 0 3
19.2, 46, 1 0 4
22.0, 66, 0 1 5
24.5, 100, 1 1 3
25.6, 50, 0 2 1
26.4, 41, 2 0 2
29.3, 48, 0 2 4
36.1, 55, 0 2 7
38.9, 43, 2 0 8
44.7, 53, 2 2 0